Theoretical powder diffractogram of Cu2ReF8 for λ = 1.5418 Å (Cu Kα), from a cell relaxed with GGA-PBE.

Atomic structure:
Cell lengths 4.732, 4.732, 10.301 Å; angles 90.00, 90.00, 90.00 degrees
Space group I-4 (No. 82)
Unique sites:
Cu: 0.000 0.000 0.176 (multiplicity 4)
Re: 0.000 0.000 0.500 (multiplicity 2)
F: 0.146 0.212 0.340 (multiplicity 8)
F: 0.178 0.715 0.937 (multiplicity 8)

Main lines, by angle (2θ = 10–90°):
- 17.2°, I = 202
- 20.7°, I = 588
- 26.6°, I = 1000
- 32.2°, I = 928
- 43.7°, I = 190
- 50.7°, I = 760
- 60.6°, I = 202
- 65.1°, I = 209